# 1
The following is a calculated X-ray powder pattern of Zr4NiRu3. It was derived from a cell relaxed with PBE, using CuKα.
No peak broadening, texture or thermal motion is included.

Structural model:
a b c (Å): 3.2473 4.6356 9.2706
angles (deg): 90.00 90.00 90.00
Sites, in units of the cell vectors:
Zr 0.0000 0.0000 0.0000
Zr 0.0000 0.0000 0.5000
Zr 0.0000 0.5000 0.2474
Zr 0.0000 0.5000 0.7526
Ni 0.5000 0.5000 0.0000
Ru 0.5000 0.0000 0.2494
Ru 0.5000 0.0000 0.7506
Ru 0.5000 0.5000 0.5000

Most intense lines, 5° ≤ 2θ ≤ 70°, in order of falling intensity:
- 2θ 39.05, rel. 100
- 2θ 38.86, rel. 51
- 2θ 56.12, rel. 17
- 2θ 56.69, rel. 8
- 2θ 9.54, rel. 2
- 2θ 19.15, rel. 1
- 2θ 21.43, rel. 1


# 2
The following is a calculated X-ray powder pattern of NdFe11. It was derived from a cell relaxed with PBE, using CuKα.
No peak broadening, texture or thermal motion is included.

Structural model:
a b c (Å): 7.8256 7.8256 7.8256
angles (deg): 99.77 99.77 131.35
Sites, in units of the cell vectors:
Nd 0.3750 0.6250 0.7500
Nd 0.6250 0.3750 0.2500
Fe 0.0000 0.0000 0.0000
Fe 0.0000 0.0000 0.5000
Fe 0.0000 0.5000 0.0000
Fe 0.1250 0.8750 0.2500
Fe 0.1392 0.5605 0.3294
Fe 0.1392 0.8098 0.5786
Fe 0.1902 0.2688 0.3294
Fe 0.1902 0.8608 0.9214
Fe 0.2688 0.1902 0.8294
Fe 0.2688 0.4395 0.0786
Fe 0.4395 0.2688 0.5786
Fe 0.4395 0.8608 0.1706
Fe 0.5000 0.0000 0.5000
Fe 0.5605 0.1392 0.8294
Fe 0.5605 0.7312 0.4214
Fe 0.7312 0.5605 0.9214
Fe 0.7312 0.8098 0.1706
Fe 0.8098 0.1392 0.0786
Fe 0.8098 0.7312 0.6706
Fe 0.8608 0.1902 0.4214
Fe 0.8608 0.4395 0.6706
Fe 0.8750 0.1250 0.7500

Most intense lines, 5° ≤ 2θ ≤ 70°, in order of falling intensity:
- 2θ 39.76, rel. 100
- 2θ 39.98, rel. 73
- 2θ 34.97, rel. 40
- 2θ 47.22, rel. 40
- 2θ 43.04, rel. 32
- 2θ 49.32, rel. 30
- 2θ 30.43, rel. 17
- 2θ 45.69, rel. 15
- 2θ 63.31, rel. 15
- 2θ 24.08, rel. 14


# 3
The following is a calculated X-ray powder pattern of Ho3Er2C3. It was derived from a cell relaxed with PBE, using CuKα.
No peak broadening, texture or thermal motion is included.

Structural model:
a b c (Å): 6.3313 6.3313 11.7743
angles (deg): 90.11 90.11 45.84
Sites, in units of the cell vectors:
Ho 0.0000 0.0000 0.0000
Ho 0.0016 0.0016 0.2630
Ho 0.2026 0.2026 0.6310
Ho 0.6172 0.6172 0.8092
Ho 0.6949 0.6949 0.1311
Ho 0.8971 0.8971 0.4998
Er 0.2766 0.2766 0.9517
Er 0.2786 0.2786 0.3101
Er 0.6204 0.6204 0.4514
Er 0.8947 0.8947 0.7634
C 0.1022 0.1022 0.8258
C 0.1057 0.1057 0.4369
C 0.1590 0.1590 0.1312
C 0.7385 0.7385 0.6308
C 0.7916 0.7916 0.9366
C 0.7931 0.7931 0.3253

Most intense lines, 5° ≤ 2θ ≤ 70°, in order of falling intensity:
- 2θ 30.09, rel. 100
- 2θ 36.42, rel. 61
- 2θ 29.25, rel. 52
- 2θ 30.24, rel. 42
- 2θ 38.46, rel. 35
- 2θ 54.02, rel. 26
- 2θ 34.12, rel. 22
- 2θ 31.61, rel. 18
- 2θ 48.99, rel. 16
- 2θ 61.70, rel. 16